Record 1
This entry pairs a crystal structure of Hf3CdCN with its theoretical X-ray diffraction stick pattern. Radiation: copper Kα. Structure: a cell relaxed with GGA-PBE.

Main lines, sorted by position (10 to 90 degrees two-theta):
2theta	d [Å]	intensity	h k l
31.8	2.816	28	1 0 1
34.3	2.615	20	1 0 3
36.0	2.494	30	0 0 8
36.4	2.471	100	0 1 4
38.9	2.316	21	1 0 5
45.0	2.013	11	0 1 7
52.3	1.748	9	0 1 9
56.0	1.642	29	1 1 0
60.5	1.529	5	1 0 11
65.0	1.435	18	0 1 12
68.4	1.372	28	1 1 8
68.6	1.368	16	2 0 4

Atomic structure:
```
Hf3CdCN
1.0
3.2844 0.0000 0.0000
-1.6422 2.8444 0.0000
0.0000 0.0000 19.9495
Hf Cd C N
6 2 2 2
Direct
0.0000 0.0000 0.0000 Hf
0.0000 0.0000 0.5000 Hf
0.3333 0.6667 0.1232 Hf
0.3333 0.6667 0.3720 Hf
0.6667 0.3333 0.6280 Hf
0.6667 0.3333 0.8768 Hf
0.0000 0.0000 0.2464 Cd
0.0000 0.0000 0.7536 Cd
0.3333 0.6667 0.5698 C
0.6667 0.3333 0.4302 C
0.3333 0.6667 0.9336 N
0.6667 0.3333 0.0664 N
```

Record 2
This entry pairs a crystal structure of PuPa with its theoretical X-ray diffraction stick pattern. Radiation: copper Kα. Structure: a cell relaxed with GGA-PBE.

Main lines, sorted by position (10 to 90 degrees two-theta):
2theta	d [Å]	intensity	h k l
20.8	4.261	24	1 0 1
22.0	4.042	15	2 0 0
29.1	3.068	95	1 1 1
30.0	2.983	25	2 1 0
35.8	2.507	48	0 0 2
37.9	2.374	100	3 0 1
40.8	2.211	45	0 2 0
43.0	2.106	18	1 1 2
47.4	1.919	16	2 1 2
49.6	1.838	18	4 1 0
55.4	1.658	28	0 2 2
56.9	1.618	63	3 2 1

Atomic structure:
```
PuPa
1.0
8.0841 0.0000 0.0000
0.0000 4.4219 0.0000
0.0000 0.0000 5.0138
Pu Pa
4 4
Direct
0.0133 0.2500 0.0606 Pu
0.4867 0.7500 0.5606 Pu
0.5133 0.2500 0.4394 Pu
0.9867 0.7500 0.9394 Pu
0.1650 0.7500 0.5027 Pa
0.3350 0.2500 0.0027 Pa
0.6650 0.7500 0.9973 Pa
0.8350 0.2500 0.4973 Pa
```